Diffraction record for ZrTa2Tl. The powder diffraction line list is computed, not measured: it uses DFT lattice parameters and positions (PBE) and copper Kα.
No peak broadening, texture or thermal motion is included.

Principal peaks in the range 5 to 70 degrees two-theta, most intense first:
- 37.31 deg, intensity 100.0
- 37.74 deg, intensity 91.9
- 35.51 deg, intensity 57.2
- 35.37 deg, intensity 54.8
- 50.99 deg, intensity 39.1
- 64.95 deg, intensity 20.0
- 64.47 deg, intensity 19.3
- 65.24 deg, intensity 18.7
- 24.10 deg, intensity 18.4
- 65.35 deg, intensity 17.1

Atomic structure:
```
4
Lattice="3.0288 0.0000 0.0000 0.0000 5.0562 0.0000 -0.4916 0.0000 5.4058" Properties=species:S:1:pos:R:3 pbc="T T T"
Zr 0.0000 0.0000 0.0000
Ta 0.4512 2.5281 4.1882
Ta 2.0861 2.5281 1.2177
Tl 1.2686 0.0000 2.7029
```

***

Diffraction record for Cs2RbF3. The powder diffraction line list is computed, not measured: it uses DFT lattice parameters and positions (PBE) and copper Kα.
No peak broadening, texture or thermal motion is included.

Principal peaks in the range 5 to 70 degrees two-theta, most intense first:
- 29.88 deg, intensity 100.0
- 25.80 deg, intensity 95.1
- 42.79 deg, intensity 59.9
- 50.57 deg, intensity 23.5
- 50.67 deg, intensity 23.1
- 53.12 deg, intensity 12.4
- 52.96 deg, intensity 12.3
- 42.66 deg, intensity 11.9
- 62.08 deg, intensity 11.3
- 68.46 deg, intensity 9.9

Atomic structure:
```
12
Lattice="6.7003 -2.9884 0.0000 6.7003 2.9884 0.0000 -2.6604 0.0000 8.0128" Properties=species:S:1:pos:R:3 pbc="T T T"
Cs 2.0014 -0.0019 0.6657
Cs 0.6712 0.0019 4.6721
Cs 10.0689 -0.0019 3.3407
Cs 8.7388 0.0019 7.3471
Rb 6.0352 0.0028 2.0032
Rb 4.7050 -0.0028 6.0096
F 4.7050 2.9819 6.0096
F 2.1547 0.0024 7.3874
F 3.4849 -0.0024 3.3810
F 7.2553 0.0024 4.6319
F 8.5855 -0.0024 0.6254
F 6.0352 -2.9819 2.0032
```

***

Diffraction record for La2TbNd4Er. The powder diffraction line list is computed, not measured: it uses DFT lattice parameters and positions (PBE) and copper Kα.
No peak broadening, texture or thermal motion is included.

Principal peaks in the range 5 to 70 degrees two-theta, most intense first:
- 29.88 deg, intensity 100.0
- 49.70 deg, intensity 18.3
- 49.89 deg, intensity 18.1
- 34.48 deg, intensity 17.1
- 34.63 deg, intensity 16.9
- 34.81 deg, intensity 16.7
- 58.96 deg, intensity 14.6
- 59.15 deg, intensity 14.5
- 59.39 deg, intensity 14.3
- 62.08 deg, intensity 12.5

Atomic structure:
```
8
Lattice="5.1551 0.0000 0.0000 0.0000 5.1808 0.0000 -0.0198 0.0000 10.4041" Properties=species:S:1:pos:R:3 pbc="T T T"
La 0.0000 0.0000 0.0000
La 2.5676 2.5904 5.2020
Tb -0.0099 0.0000 5.2020
Nd -0.0118 2.5904 7.8150
Nd 2.5728 0.0000 2.5995
Nd 2.5625 0.0000 7.8046
Nd 5.1471 2.5904 2.5890
Er 2.5775 2.5904 0.0000
```

***

Diffraction record for CsPaGa2O6. The powder diffraction line list is computed, not measured: it uses DFT lattice parameters and positions (PBE) and copper Kα.
No peak broadening, texture or thermal motion is included.

Principal peaks in the range 5 to 70 degrees two-theta, most intense first:
- 25.15 deg, intensity 100.0
- 29.99 deg, intensity 54.0
- 19.47 deg, intensity 30.6
- 50.40 deg, intensity 28.7
- 39.53 deg, intensity 22.0
- 13.65 deg, intensity 20.6
- 41.13 deg, intensity 18.7
- 41.00 deg, intensity 18.0
- 60.88 deg, intensity 15.8
- 53.24 deg, intensity 14.6

Atomic structure:
```
10
Lattice="2.9798 1.7204 6.4895 -2.9798 1.7204 6.4895 0.0000 -3.4408 6.4895" Properties=species:S:1:pos:R:3 pbc="T T T"
Cs 0.0000 0.0000 0.0000
Pa 0.0000 0.0000 9.7342
Ga 0.0000 0.0000 4.4182
Ga 0.0000 0.0000 15.0503
O -1.7493 -0.4238 8.4887
O -0.5076 -1.7269 10.9798
O -1.2417 1.3030 10.9798
O 1.2417 -1.3030 8.4887
O 0.5076 1.7269 8.4887
O 1.7493 0.4239 10.9798
```